# 1
# Mg2SnSe4
Computed powder X-ray diffraction pattern, Cu Kα X-rays. Input: a DFT-relaxed cell (GGA-PBE, Alexandria).
Kinematic intensities with the Lorentz-polarization factor, no thermal factor.

Main lines, in order of rising 2θ (10 to 90 degrees two-theta):
Position (°2θ)	d (Å)	I (rel.)	index
13.38	6.619	46	1 0 0
17.95	4.941	17	0 0 1
22.45	3.960	20	1 0 1
26.23	3.398	100	1 1 1
32.56	2.750	17	2 0 1
35.35	2.539	15	2 1 1
38.47	2.340	40	2 2 0
45.83	1.980	49	2 0 2
47.15	1.927	38	3 1 1
55.53	1.655	13	4 0 0
73.11	1.294	10	3 1 3
74.77	1.270	22	4 2 2

Cell: 6.619 6.619 4.941 Å, 90.00 90.00 90.00°
Space group P-42m (No. 111)
Symmetry-distinct sites (fractional):
Mg (0.000, 0.500, 0.000) x2
Sn (0.000, 0.000, 0.000) x1
Se (0.239, 0.239, 0.252) x4



# 2
# Rb2Sr3I8
Computed powder X-ray diffraction pattern, Cu Kα X-rays. Input: a DFT-relaxed cell (GGA-PBE, Alexandria).
Kinematic intensities with the Lorentz-polarization factor, no thermal factor.

Main lines, in order of rising 2θ (10 to 90 degrees two-theta):
Position (°2θ)	d (Å)	I (rel.)	index
10.38	8.522	33	2 0 0
20.85	4.260	24	4 0 0
21.27	4.177	27	0 2 1
22.08	4.027	33	2 2 -1
22.31	3.985	20	0 0 2
25.26	3.526	35	4 0 -2
27.27	3.270	100	4 2 -1
27.57	3.236	47	2 0 2
32.39	2.764	56	4 2 1
36.65	2.452	27	0 4 0
36.94	2.433	55	2 2 -3
46.47	1.954	20	2 4 2

Cell: 17.999 9.809 8.410 Å, 90.00 108.62 90.00°
Space group C2/m (No. 12)
Symmetry-distinct sites (fractional):
Rb (0.233, 0.000, 0.160) x4
Sr (0.000, 0.242, 0.500) x4
Sr (0.000, 0.500, 0.000) x2
I (0.105, 0.500, 0.407) x4
I (0.110, 0.270, 0.896) x8
I (0.114, 0.000, 0.445) x4



# 3
# Mg2AgSb
Computed powder X-ray diffraction pattern, Cu Kα X-rays. Input: a DFT-relaxed cell (GGA-PBE, Alexandria).
Kinematic intensities with the Lorentz-polarization factor, no thermal factor.

Main lines, in order of rising 2θ (10 to 90 degrees two-theta):
Position (°2θ)	d (Å)	I (rel.)	index
19.52	4.548	45	0 0 1
20.41	4.352	74	2 0 -1
27.86	3.202	14	2 0 1
29.28	3.050	72	4 0 0
36.10	2.488	47	3 1 0
36.77	2.444	80	1 1 1
37.74	2.383	100	2 0 -2
40.38	2.234	20	4 0 1
42.67	2.119	19	6 0 -1
46.76	1.943	16	2 0 2
54.30	1.689	16	5 1 -2
60.71	1.525	14	7 1 0

Cell: 12.845 3.144 4.785 Å, 90.00 108.09 90.00°
Space group Cm (No. 8)
Symmetry-distinct sites (fractional):
Mg (0.000, 0.000, 0.000) x2
Mg (0.195, 0.000, 0.653) x2
Ag (0.499, 0.000, 0.505) x2
Sb (0.288, 0.500, 0.232) x2



# 4
# CePmGaOs
Computed powder X-ray diffraction pattern, Cu Kα X-rays. Input: a DFT-relaxed cell (GGA-PBE, Alexandria).
Kinematic intensities with the Lorentz-polarization factor, no thermal factor.

Main lines, in order of rising 2θ (10 to 90 degrees two-theta):
Position (°2θ)	d (Å)	I (rel.)	index
14.93	5.934	24	0 0 2
30.12	2.967	38	0 0 4
31.21	2.865	30	0 1 3
32.62	2.745	100	1 1 1
38.32	2.349	28	1 0 4
39.22	2.297	71	1 1 3
43.55	2.078	26	0 2 0
47.30	1.922	20	2 0 0
50.23	1.816	16	1 1 5
53.86	1.702	15	0 2 4
59.39	1.556	15	1 2 4
66.24	1.411	15	2 2 0

Cell: 3.844 4.156 11.868 Å, 90.00 90.00 90.00°
Space group Amm2 (No. 38)
Symmetry-distinct sites (fractional):
Ce (0.000, 0.000, 0.000) x2
Pm (0.500, 0.000, 0.279) x2
Ga (0.000, 0.000, 0.692) x2
Os (0.500, 0.000, 0.540) x2